Record 1
Computed powder diffraction line list of Cu7Te4 for CuKα, from a DFT-relaxed cell (PBE, OQMD).

Largest 6 diffraction maxima, low angle first, 10 to 90 degrees two-theta:
two_theta	d_spacing	I/Imax
24.73	3.600	81
27.49	3.245	22
43.54	2.079	68
44.13	2.052	100
63.73	1.460	31
80.36	1.195	30

Structural model:
```
Cu7Te4
1.0
8.3142 0.0000 0.0000
-4.1571 7.2003 0.0000
0.0000 0.0000 7.4934
Cu Te
14 8
Cartesian
0.0000 2.2590 3.0834 Cu
-2.2008 6.0708 3.0834 Cu
0.0000 2.3777 0.6743 Cu
-2.0979 6.0114 0.6743 Cu
1.9563 1.1295 4.4100 Cu
2.0592 1.1889 6.8191 Cu
0.0000 4.8002 4.3417 Cu
4.1571 2.4001 3.1516 Cu
2.0979 6.0114 0.6743 Cu
2.2008 6.0708 3.0834 Cu
6.2550 1.1889 6.8191 Cu
4.1571 4.8225 6.8191 Cu
6.3578 1.1295 4.4100 Cu
4.1571 4.9413 4.4100 Cu
0.0000 2.5078 5.6319 Te
-1.9853 5.9464 5.6319 Te
0.0000 4.8002 1.7707 Te
2.1718 1.2539 1.8615 Te
1.9853 5.9464 5.6319 Te
4.1571 2.4001 5.7226 Te
6.1424 1.2539 1.8615 Te
4.1571 4.6925 1.8615 Te
```

=====

Record 2
Computed powder diffraction line list of Cu7Te4 for CuKα, from a DFT-relaxed cell (PBE, OQMD).

Largest 6 diffraction maxima, low angle first, 10 to 90 degrees two-theta:
two_theta	d_spacing	I/Imax
24.76	3.595	77
24.88	3.578	70
27.73	3.217	65
42.64	2.121	71
44.82	2.022	100
45.41	1.997	77

Structural model:
```
Cu7Te4
1.0
7.1946 0.0000 0.0000
0.0000 8.2100 0.0000
-0.2289 0.0000 37.1561
Cu Te
28 16
Cartesian
0.0000 0.0000 0.0000 Cu
0.0429 4.1050 7.1690 Cu
1.3553 4.1050 35.0493 Cu
1.8051 0.0000 4.7604 Cu
2.8860 4.1050 9.6729 Cu
3.2426 0.0000 2.5395 Cu
3.1022 2.3152 35.7837 Cu
3.1022 5.8948 35.7837 Cu
3.3282 1.7728 5.8170 Cu
3.3282 6.4372 5.8170 Cu
3.8366 2.0069 8.3642 Cu
3.8366 6.2031 8.3642 Cu
4.0058 1.9661 1.1175 Cu
3.9867 4.1050 4.7617 Cu
4.0058 6.2439 1.1175 Cu
3.8477 0.0000 34.9696 Cu
4.6950 2.0683 33.8841 Cu
4.6950 6.1417 33.8841 Cu
5.0226 1.9851 3.6233 Cu
5.0226 6.2248 3.6233 Cu
5.0226 0.0000 7.1260 Cu
4.9170 4.1050 36.8098 Cu
5.2178 4.1050 8.6602 Cu
5.7442 0.0000 2.1581 Cu
5.5687 1.7698 36.0971 Cu
5.5687 6.4401 36.0971 Cu
5.7806 2.2613 6.1886 Cu
5.7806 5.9487 6.1886 Cu
2.3190 0.0000 7.4662 Te
2.3874 2.2362 3.4429 Te
2.3874 5.9737 3.4429 Te
2.4777 4.1050 0.2906 Te
2.4552 1.8090 10.5310 Te
2.4552 6.4010 10.5310 Te
2.3401 0.0000 36.9871 Te
2.6281 4.1050 7.0296 Te
6.1269 4.1050 34.2692 Te
6.3670 0.0000 4.8115 Te
6.3464 0.0000 34.2594 Te
6.5124 1.9006 8.6438 Te
6.5124 6.3094 8.6438 Te
6.6142 2.2865 1.2793 Te
6.5925 4.1050 4.5391 Te
6.6142 5.9234 1.2793 Te
```

=====

Record 3
Computed powder diffraction line list of Cu7Te4 for CuKα, from a DFT-relaxed cell (PBE, OQMD).

Largest 6 diffraction maxima, low angle first, 10 to 90 degrees two-theta:
two_theta	d_spacing	I/Imax
24.81	3.589	81
26.93	3.311	88
27.89	3.199	68
42.72	2.117	86
44.45	2.038	60
44.90	2.019	100

Structural model:
```
Cu7Te4
1.0
7.1917 0.0000 0.0000
0.0000 8.1555 0.0000
-0.2715 0.0000 37.1451
Cu Te
28 16
Cartesian
0.3881 2.0389 17.4973 Cu
0.3884 0.0742 20.9618 Cu
0.3884 4.0035 20.9618 Cu
0.4961 0.7767 25.0184 Cu
0.4961 3.3011 25.0184 Cu
0.6133 0.1267 13.9052 Cu
0.6133 3.9511 13.9052 Cu
0.5722 6.1167 24.2854 Cu
0.9678 2.0389 22.5530 Cu
1.0968 4.2941 18.4891 Cu
1.0968 7.9392 18.4891 Cu
1.2451 6.1167 15.0735 Cu
2.5444 6.1167 17.4135 Cu
2.7781 2.0389 24.4818 Cu
4.1421 6.1167 12.6634 Cu
4.3758 2.0389 19.7316 Cu
5.6751 2.0389 22.0716 Cu
5.8234 0.2163 18.6560 Cu
5.8234 3.8615 18.6560 Cu
5.9524 6.1167 14.5922 Cu
6.3480 2.0389 12.8597 Cu
6.3068 4.2044 23.2400 Cu
6.3068 8.0289 23.2400 Cu
6.4241 4.8545 12.1267 Cu
6.4241 7.3788 12.1267 Cu
6.5318 4.1520 16.1833 Cu
6.5318 8.0813 16.1833 Cu
6.5321 6.1167 19.6478 Cu
1.4749 6.1167 12.3219 Te
1.5934 2.0389 12.4043 Te
1.7350 2.0389 19.8564 Te
1.9873 0.2333 16.1126 Te
1.9873 3.8444 16.1126 Te
1.9703 6.1167 20.0802 Te
2.1861 4.2888 23.4304 Te
2.1861 7.9445 23.4304 Te
4.7341 0.2110 13.7147 Te
4.7341 3.8667 13.7147 Te
4.9499 2.0389 17.0649 Te
4.9329 4.3111 21.0325 Te
4.9329 7.9222 21.0325 Te
5.1852 6.1167 17.2887 Te
5.3268 6.1167 24.7408 Te
5.4452 2.0389 24.8232 Te
```

=====

Record 4
Computed powder diffraction line list of Cu7Te4 for CuKα, from a DFT-relaxed cell (PBE, OQMD).

Largest 6 diffraction maxima, low angle first, 10 to 90 degrees two-theta:
two_theta	d_spacing	I/Imax
24.63	3.614	63
25.74	3.461	48
44.34	2.043	100
44.48	2.037	70
45.12	2.009	89
46.17	1.966	50

Structural model:
```
Cu7Te4
1.0
7.2470 0.0000 0.0000
0.0000 8.1736 0.0000
-1.1997 0.0000 27.2150
Cu Te
14 8
Cartesian
-0.0689 0.1139 11.5201 Cu
-0.0689 3.9729 11.5201 Cu
-0.0075 2.0434 16.1244 Cu
0.2050 6.1302 14.7245 Cu
0.7727 0.2594 13.8519 Cu
0.7727 3.8274 13.8519 Cu
2.2270 2.0434 14.8947 Cu
3.8203 6.1302 12.3203 Cu
5.2746 4.3462 13.3631 Cu
5.2746 7.9142 13.3631 Cu
5.8423 2.0434 12.4905 Cu
6.0548 6.1302 11.0906 Cu
6.1162 4.2008 15.6949 Cu
6.1162 8.0597 15.6949 Cu
1.2302 6.1302 12.2557 Te
1.5480 2.0434 12.1104 Te
1.3610 4.2080 16.3394 Te
1.3610 8.0525 16.3394 Te
4.6863 0.1211 10.8756 Te
4.6863 3.9657 10.8756 Te
4.4993 6.1302 15.1046 Te
4.8171 2.0434 14.9593 Te
```

=====

Record 5
Computed powder diffraction line list of Cu4Te for CuKα, from a DFT-relaxed cell (PBE, OQMD).

Largest 6 diffraction maxima, low angle first, 10 to 90 degrees two-theta:
two_theta	d_spacing	I/Imax
31.19	2.868	30
42.04	2.149	79
43.04	2.102	100
44.29	2.045	30
44.43	2.039	63
49.06	1.857	47

Structural model:
```
Cu4Te
1.0
5.6651 0.0000 0.0000
0.0000 3.7142 0.0000
-0.2026 0.0000 29.6361
Cu Te
24 6
Cartesian
0.1294 0.9286 10.0115 Cu
0.1807 0.9286 15.6628 Cu
0.2790 0.9286 21.3417 Cu
0.7437 2.7857 11.7199 Cu
0.7507 2.7857 17.3561 Cu
1.3113 0.9286 13.4118 Cu
1.3338 0.9286 19.0423 Cu
1.8547 2.7857 9.4502 Cu
1.8821 2.7857 15.1085 Cu
1.9155 2.7857 20.7549 Cu
2.4271 0.9286 11.1549 Cu
2.4534 0.9286 16.7897 Cu
3.0091 2.7857 12.8464 Cu
3.0354 2.7857 18.4812 Cu
3.5470 0.9286 8.8812 Cu
3.5804 0.9286 14.5276 Cu
3.6078 0.9286 20.1859 Cu
4.1287 2.7857 10.5937 Cu
4.1512 2.7857 16.2243 Cu
4.7118 0.9286 12.2800 Cu
4.7188 0.9286 17.9162 Cu
5.1835 2.7857 8.2944 Cu
5.2818 2.7857 13.9733 Cu
5.3331 2.7857 19.6246 Cu
0.4936 2.7857 25.2898 Te
1.3293 0.9286 7.5267 Te
1.6991 0.9286 23.5004 Te
3.7634 2.7857 6.1357 Te
4.1331 2.7857 22.1094 Te
4.9689 0.9286 4.3463 Te
```

=====

Record 6
Computed powder diffraction line list of Cu7Te4 for CuKα, from a DFT-relaxed cell (PBE, OQMD).

Largest 6 diffraction maxima, low angle first, 10 to 90 degrees two-theta:
two_theta	d_spacing	I/Imax
24.73	3.600	80
24.82	3.588	70
27.74	3.216	81
42.86	2.110	92
44.72	2.026	68
45.36	2.000	100

Structural model:
```
Cu7Te4
1.0
7.2084 0.0000 0.0000
0.0000 8.2214 0.0000
-0.2150 0.0000 36.8802
Cu Te
28 16
Cartesian
0.4251 1.9777 12.6938 Cu
0.4251 6.2437 12.6938 Cu
0.4186 2.0076 19.6866 Cu
0.4186 6.2137 19.6866 Cu
0.4448 4.1107 15.8453 Cu
0.4814 4.1107 24.6575 Cu
0.6420 0.0000 23.2766 Cu
1.0267 1.7259 15.0766 Cu
1.0267 6.4954 15.0766 Cu
1.1244 0.0000 18.1803 Cu
1.2639 2.2312 22.2274 Cu
1.2639 5.9901 22.2274 Cu
2.6048 0.0000 16.0700 Cu
2.6499 4.1107 23.2780 Cu
4.3435 4.1107 13.6023 Cu
4.3887 0.0000 20.8102 Cu
5.7295 2.2312 14.6528 Cu
5.7295 5.9901 14.6528 Cu
5.8690 0.0000 18.6999 Cu
5.9667 1.7259 21.8036 Cu
5.9667 6.4954 21.8036 Cu
6.3514 0.0000 13.6036 Cu
6.5120 4.1107 12.2228 Cu
6.5487 4.1107 21.0349 Cu
6.5748 2.0076 17.1936 Cu
6.5748 6.2137 17.1936 Cu
6.5683 1.9777 24.1864 Cu
6.5683 6.2437 24.1864 Cu
1.7024 4.1107 13.4684 Te
1.7858 0.0000 20.8332 Te
1.8747 1.9674 24.7881 Te
1.8747 6.2540 24.7881 Te
1.9859 0.0000 13.3368 Te
1.9925 2.2973 17.3624 Te
1.9925 5.9240 17.3624 Te
1.9990 4.1107 20.6335 Te
4.9944 4.1107 16.2467 Te
5.0009 2.2973 19.5179 Te
5.0009 5.9240 19.5179 Te
5.0075 0.0000 23.5434 Te
5.1187 1.9674 12.0921 Te
5.1187 6.2540 12.0921 Te
5.2076 0.0000 16.0471 Te
5.2910 4.1107 23.4119 Te
```